Structure and calculated powder XRD pattern of Li5Hg6Pb (a DFT-relaxed cell (PBE, Alexandria); Cu Kα).
Neutral-atom scattering factors, no anomalous dispersion.

Principal peaks in the range 2θ from 10° to 90°, low angle first:
24.75 deg, intensity 35
25.62 deg, intensity 18
26.38 deg, intensity 55
36.48 deg, intensity 100
37.58 deg, intensity 22
37.74 deg, intensity 25

Structural model:
a = 8.3786 Å, b = 8.3786 Å, c = 8.3786 Å
α = 146.94°, β = 129.11°, γ = 62.03°
Atoms (fractional coordinates):
Li 0.0000 0.0000 0.0000
Li 0.1720 0.6720 0.5000
Li 0.3466 0.3466 0.0000
Li 0.6534 0.6534 0.0000
Li 0.8280 0.3280 0.5000
Hg 0.0470 0.8201 0.2268
Hg 0.2103 0.5000 0.7103
Hg 0.4067 0.1799 0.2268
Hg 0.5933 0.8201 0.7732
Hg 0.7897 0.5000 0.2897
Hg 0.9530 0.1799 0.7732
Pb 0.5000 0.0000 0.5000